Record 1
Starting from a cell relaxed with PBE+U, the X-ray diffraction stick pattern of MgVFeP4O14 was computed for copper Kα.

Cell and atoms:
```
MgVFeP4O14
1.0
4.999 0.000 0.000
-1.996 6.590 0.000
-0.368 -0.579 8.183
Mg V Fe P O
1 1 1 4 14
Direct
0.000 0.000 0.000
0.807 0.078 0.618
0.763 0.497 0.164
0.173 0.272 0.310
0.194 0.869 0.402
0.428 0.324 0.811
0.461 0.749 0.913
0.019 0.889 0.545
0.037 0.283 0.468
0.076 0.668 0.300
0.125 0.181 0.804
0.165 0.033 0.265
0.185 0.780 0.955
0.400 0.548 0.792
0.478 0.402 0.314
0.505 0.922 0.449
0.556 0.316 0.982
0.602 0.281 0.675
0.651 0.729 0.065
0.653 0.922 0.826
0.995 0.290 0.154
```

Main lines, by angle (10 to 90 degrees two-theta):
| 2θ (°) | I (rel.) |
| --- | --- |
| 16.69 | 73 |
| 17.89 | 100 |
| 20.94 | 66 |
| 22.14 | 41 |
| 22.25 | 80 |
| 24.81 | 74 |
| 26.46 | 36 |
| 27.45 | 66 |
| 27.80 | 79 |
| 28.09 | 65 |
| 29.64 | 92 |
| 29.90 | 45 |



Record 2
Starting from a cell relaxed with PBE+U, the X-ray diffraction stick pattern of Li2CoSiO4 was computed for copper Kα.

Cell and atoms:
```
Li2CoSiO4
1.0
6.368 0.000 0.000
0.000 5.096 0.000
-0.115 0.000 10.771
Li Co Si O
8 4 4 16
Direct
0.004 0.193 0.169
0.004 0.307 0.669
0.226 0.197 0.927
0.226 0.303 0.427
0.774 0.697 0.573
0.774 0.803 0.073
0.996 0.693 0.331
0.996 0.807 0.831
0.500 0.195 0.161
0.500 0.305 0.661
0.500 0.695 0.339
0.500 0.805 0.839
0.245 0.692 0.088
0.245 0.808 0.588
0.755 0.192 0.412
0.755 0.308 0.912
0.041 0.697 0.660
0.041 0.803 0.160
0.250 0.700 0.444
0.250 0.800 0.944
0.251 0.133 0.590
0.251 0.367 0.090
0.468 0.705 0.660
0.468 0.795 0.160
0.532 0.205 0.840
0.532 0.295 0.340
0.749 0.633 0.910
0.749 0.867 0.410
0.750 0.200 0.056
0.750 0.300 0.556
0.959 0.197 0.840
0.959 0.303 0.340
```

Main lines, by angle (10 to 90 degrees two-theta):
| 2θ (°) | I (rel.) |
| --- | --- |
| 13.91 | 100 |
| 21.49 | 43 |
| 22.34 | 26 |
| 27.79 | 17 |
| 27.98 | 54 |
| 32.51 | 24 |
| 32.83 | 26 |
| 33.27 | 31 |
| 35.22 | 47 |
| 49.29 | 19 |
| 57.93 | 19 |
| 58.79 | 16 |



Record 3
Starting from a cell relaxed with PBE+U, the X-ray diffraction stick pattern of MnCoP2O8 was computed for copper Kα.

Cell and atoms:
```
MnCoP2O8
1.0
4.836 0.000 0.000
0.000 5.922 0.000
-0.218 0.000 9.904
Mn Co P O
2 2 4 16
Direct
0.064 0.250 0.216
0.936 0.750 0.784
0.445 0.250 0.719
0.555 0.750 0.281
0.083 0.750 0.098
0.413 0.750 0.598
0.587 0.250 0.402
0.917 0.250 0.902
0.152 0.750 0.947
0.230 0.250 0.884
0.237 0.550 0.171
0.237 0.950 0.171
0.271 0.250 0.381
0.275 0.544 0.672
0.275 0.956 0.672
0.341 0.750 0.447
0.659 0.250 0.553
0.725 0.044 0.328
0.725 0.456 0.328
0.729 0.750 0.619
0.763 0.050 0.829
0.763 0.450 0.829
0.770 0.750 0.116
0.848 0.250 0.053
```

Main lines, by angle (10 to 90 degrees two-theta):
| 2θ (°) | I (rel.) |
| --- | --- |
| 17.91 | 77 |
| 20.26 | 58 |
| 20.62 | 53 |
| 25.28 | 43 |
| 25.57 | 44 |
| 30.18 | 100 |
| 35.96 | 47 |
| 36.60 | 62 |
| 36.84 | 17 |
| 48.63 | 21 |
| 58.01 | 24 |
| 62.76 | 17 |



Record 4
Starting from a cell relaxed with PBE+U, the X-ray diffraction stick pattern of CrBiO4 was computed for copper Kα.

Cell and atoms:
```
CrBiO4
1.0
-3.696 3.696 3.229
3.696 -3.696 3.229
3.696 3.696 -3.229
Cr Bi O
2 2 8
Direct
0.375 0.625 0.750
0.625 0.375 0.250
0.125 0.875 0.250
0.875 0.125 0.750
0.203 0.273 0.571
0.203 0.632 0.929
0.273 0.203 0.071
0.368 0.797 0.571
0.632 0.203 0.429
0.727 0.797 0.929
0.797 0.368 0.071
0.797 0.727 0.429
```

Main lines, by angle (10 to 90 degrees two-theta):
| 2θ (°) | I (rel.) |
| --- | --- |
| 18.24 | 51 |
| 24.08 | 100 |
| 30.38 | 22 |
| 32.60 | 74 |
| 34.32 | 26 |
| 39.13 | 17 |
| 46.48 | 16 |
| 48.06 | 61 |
| 49.32 | 16 |
| 55.61 | 15 |
| 60.37 | 18 |
| 71.32 | 15 |



Record 5
Starting from a cell relaxed with PBE+U, the X-ray diffraction stick pattern of MgW4O8 was computed for copper Kα.

Cell and atoms:
```
MgW4O8
1.0
3.249 1.876 4.885
-3.249 1.876 4.885
0.000 -3.751 4.885
Mg W O
1 4 8
Direct
0.000 0.000 0.000
0.000 0.000 0.500
0.000 0.500 0.000
0.500 0.000 0.000
0.500 0.500 0.500
0.224 0.749 0.749
0.234 0.234 0.234
0.251 0.251 0.776
0.251 0.776 0.251
0.749 0.224 0.749
0.749 0.749 0.224
0.766 0.766 0.766
0.776 0.251 0.251
```

Main lines, by angle (10 to 90 degrees two-theta):
| 2θ (°) | I (rel.) |
| --- | --- |
| 18.16 | 100 |
| 32.40 | 65 |
| 34.14 | 46 |
| 36.80 | 13 |
| 40.43 | 58 |
| 44.65 | 25 |
| 54.65 | 18 |
| 56.67 | 21 |
| 60.02 | 25 |
| 60.29 | 17 |
| 69.50 | 14 |
| 71.90 | 10 |